Diffraction record for KBeP2. The X-ray powder pattern is calculated, not measured: it uses a structure optimized by DFT (PBE) and λ = 1.5418 Å (Cu Kα).

Principal peaks in the range 2θ = 5–70°, in order of rising 2θ:
d = 3.420 Å, 2θ 26.1, rel. 100; d = 3.134 Å, 2θ 28.5, rel. 57; d = 2.466 Å, 2θ 36.4, rel. 52; d = 2.332 Å, 2θ 38.6, rel. 40; d = 2.182 Å, 2θ 41.4, rel. 51; d = 2.028 Å, 2θ 44.7, rel. 14; d = 1.710 Å, 2θ 53.6, rel. 14; d = 1.567 Å, 2θ 58.9, rel. 32

Unit cell a=4.9379 b=4.9379 c=14.2267 alpha=90.00 beta=90.00 gamma=90.00
Space group I4_1/amd (No. 141, origin choice 2)
Inequivalent atoms, fractional coordinates:
K: 0.0000 0.2500 0.3750 x4
Be: 0.0000 0.2500 0.8750 x4
P: 0.0000 0.0000 0.0000 x8